# 1
Structure and computed X-ray diffraction stick pattern of LaZnCrSbO6 (DFT lattice parameters and positions (GGA+U); Cu Kα X-rays).
Neutral-atom scattering factors, no anomalous dispersion.

Structure:
```
LaZnCrSbO6
1.0
5.4111 0.0000 0.0000
0.0000 5.6828 0.0000
-5.3072 0.0000 8.6106
La Zn Cr Sb O
2 2 2 2 12
Direct
0.0000 0.2195 0.0000 La
0.0000 0.7805 0.5000 La
0.4839 0.1375 0.4975 Zn
0.4839 0.8625 0.9975 Zn
0.2217 0.2657 0.7469 Cr
0.2217 0.7343 0.2469 Cr
0.7247 0.2564 0.2552 Sb
0.7247 0.7436 0.7552 Sb
0.0834 0.0442 0.3191 O
0.0834 0.9558 0.8191 O
0.3700 0.4405 0.1968 O
0.3700 0.5595 0.6968 O
0.4685 0.0510 0.6886 O
0.4685 0.9490 0.1886 O
0.5999 0.2378 0.0303 O
0.5999 0.7622 0.5303 O
0.8123 0.2175 0.4745 O
0.8123 0.7825 0.9745 O
0.9692 0.4611 0.8047 O
0.9692 0.5389 0.3047 O
```

Top 6 peaks for 2θ from 5° to 70°, in order of rising 2θ:
- d = 4.743 Å, 2θ = 18.7°, rel. 32, (0 1 1)
- d = 2.911 Å, 2θ = 30.7°, rel. 100, (1 1 1)
- d = 2.885 Å, 2θ = 31.0°, rel. 90, (1 1 -3)
- d = 2.841 Å, 2θ = 31.5°, rel. 34, (0 2 0)
- d = 2.705 Å, 2θ = 33.1°, rel. 39, (2 0 -2)
- d = 1.959 Å, 2θ = 46.3°, rel. 33, (2 2 -2)

# 2
Structure and computed X-ray diffraction stick pattern of LaSm3Cr4O12 (DFT lattice parameters and positions (GGA+U); Cu Kα X-rays).
Neutral-atom scattering factors, no anomalous dispersion.

Structure:
```
LaSm3Cr4O12
1.0
5.4501 0.0000 0.0000
0.0000 7.7904 0.0000
-0.0034 0.0000 5.6303
La Sm Cr O
1 3 4 12
Direct
0.0000 0.0000 0.0000 La
0.4741 0.0000 0.5089 Sm
0.5040 0.5000 0.3961 Sm
0.9739 0.5000 0.8931 Sm
0.4886 0.2524 0.9530 Cr
0.4886 0.7476 0.9530 Cr
0.9904 0.2518 0.4512 Cr
0.9904 0.7482 0.4512 Cr
0.0876 0.5000 0.4820 O
0.1952 0.2043 0.7444 O
0.1952 0.7957 0.7444 O
0.2923 0.2023 0.2529 O
0.2923 0.7977 0.2529 O
0.3900 0.5000 0.9849 O
0.5722 0.0000 0.9214 O
0.6941 0.3029 0.6584 O
0.6941 0.6971 0.6584 O
0.7872 0.3034 0.1565 O
0.7872 0.6966 0.1565 O
0.8919 0.0000 0.4311 O
```

Top 6 peaks for 2θ from 5° to 70°, in order of rising 2θ:
- d = 3.916 Å, 2θ = 22.7°, rel. 20, (1 0 1)
- d = 2.815 Å, 2θ = 31.8°, rel. 20, (0 0 2)
- d = 2.762 Å, 2θ = 32.4°, rel. 100, (1 2 1)
- d = 2.725 Å, 2θ = 32.9°, rel. 24, (2 0 0)
- d = 1.958 Å, 2θ = 46.4°, rel. 21, (2 0 2)
- d = 1.580 Å, 2θ = 58.4°, rel. 22, (3 2 1)

# 3
Structure and computed X-ray diffraction stick pattern of SrLa3Cr4O12 (DFT lattice parameters and positions (GGA+U); Cu Kα X-rays).
Neutral-atom scattering factors, no anomalous dispersion.

Structure:
```
SrLa3Cr4O12
1.0
5.5549 0.0000 0.0000
-0.0370 5.5684 0.0000
-0.1166 -0.0438 7.8437
Sr La Cr O
1 3 4 12
Direct
0.0000 0.0000 0.0000 Sr
0.4962 0.4934 0.0100 La
0.5010 0.5043 0.4987 La
0.9922 0.9953 0.5002 La
0.4973 0.9992 0.7529 Cr
0.4983 0.9986 0.2514 Cr
0.9978 0.4989 0.7540 Cr
0.9976 0.4995 0.2517 Cr
0.0349 0.4601 0.9946 O
0.2038 0.7797 0.7525 O
0.2096 0.2121 0.2948 O
0.2815 0.2871 0.7109 O
0.2959 0.6998 0.2469 O
0.4705 0.0568 0.0009 O
0.5352 0.9483 0.5036 O
0.7022 0.2967 0.2636 O
0.7060 0.7034 0.7883 O
0.7873 0.7864 0.2245 O
0.7908 0.2199 0.7357 O
0.9625 0.5467 0.5078 O
```

Top 6 peaks for 2θ from 5° to 70°, in order of rising 2θ:
- d = 2.789 Å, 2θ = 32.1°, rel. 100, (0 2 0)
- d = 2.775 Å, 2θ = 32.3°, rel. 69, (2 0 0)
- d = 2.752 Å, 2θ = 32.5°, rel. 33, (1 1 2)
- d = 1.973 Å, 2θ = 46.0°, rel. 20, (2 -2 0)
- d = 1.960 Å, 2θ = 46.3°, rel. 43, (2 2 0)
- d = 1.609 Å, 2θ = 57.2°, rel. 29, (-1 3 2)